Starting from a crystal structure in Alexandria, relaxed with PBE, the powder diffraction line list of La2PrNd3Te6 was simulated for Cu Ka.

```
data_La2PrNd3Te6
_chemical_formula_sum 'La4 Pr2 Nd6 Te12'
_space_group_name_H-M_alt 'C 1 2/m 1'
_space_group_IT_number 12
_cell_length_a 19.7285
_cell_length_b 4.5230
_cell_length_c 9.0927
_cell_angle_alpha 90.00
_cell_angle_beta 103.14
_cell_angle_gamma 90.00
loop_
_space_group_symop_operation_xyz
'x,y,z'
'-x,-y,-z'
'-x,y,-z'
'x,-y,z'
'x+1/2,y+1/2,z'
'-x+1/2,-y+1/2,-z'
'-x+1/2,y+1/2,-z'
'x+1/2,-y+1/2,z'
loop_
_atom_site_label
_atom_site_type_symbol
_atom_site_fract_x
_atom_site_fract_y
_atom_site_fract_z
La1 La 0.1655 0.0000 0.3312
Pr1 Pr 0.0000 0.5000 0.0000
Nd1 Nd 0.0000 0.5000 0.5000
Nd2 Nd 0.1663 0.0000 0.8337
Te1 Te 0.0014 0.0000 0.7489
Te2 Te 0.1660 0.5000 0.5856
Te3 Te 0.1673 0.5000 0.0800
```

Main lines, by angle (2θ from 5° to 70°):
- hkl 6 0 0, 27.84°, I 100
- hkl 5 1 2, 39.71°, I 38
- hkl 0 2 0, 39.84°, I 38
- hkl 4 0 4, 49.07°, I 7
- hkl 6 2 0, 49.30°, I 21
- hkl 12 0 0, 57.51°, I 13
- hkl 3 1 -6, 64.89°, I 6
- hkl 11 1 2, 65.02°, I 12
- hkl 1 3 -2, 65.17°, I 18